This entry pairs a crystal structure of RbNa3 with its calculated powder diffraction line list. Radiation: Cu Kα X-rays. Structure: the GGA-PBE geometry in Alexandria.
Neutral-atom scattering factors, no anomalous dispersion.

Most intense lines, 2θ from 5° to 70°, by angle:
hkl	2theta	Rel. int.
0 0 2	15.61	131
1 0 1	17.03	430
1 1 2	26.64	1000
1 0 3	28.07	130
2 0 0	30.52	350
0 0 4	31.52	161
2 1 1	35.15	142
2 0 4	44.44	239
3 1 2	51.92	295
1 1 6	53.22	136

Atomic structure:
Unit cell a=5.858 b=5.858 c=11.354 alpha=90.00 beta=90.00 gamma=90.00
Space group I4/mmm (No. 139)
Symmetry-distinct sites (fractional):
Rb (0.000, 0.000, 0.000)
Na (0.000, 0.000, 0.500)
Na (0.000, 0.500, 0.250)